# 1
For SmAlAu, a DFT-relaxed cell (GGA-PBE, Alexandria) gives the computed powder XRD pattern in this record (Cu Kα, 1.54184 Å).

Main lines, low angle first (2θ = 5–70°):
index, d_spacing, I_rel
0 0 2, 3.512, 318
1 1 0, 3.089, 1000
1 0 2, 2.737, 626
1 1 2, 2.319, 665
2 0 0, 2.184, 528
1 0 3, 2.064, 230
2 0 2, 1.855, 221
2 1 2, 1.707, 311
1 0 4, 1.629, 188
2 2 0, 1.544, 178
2 1 3, 1.500, 167
3 1 0, 1.381, 182

Atomic structure:
abc: 4.3680 4.3680 7.0245
angles: 90.00 90.00 90.00
Space group P4/nmm (No. 129, origin choice 2)
Symmetry-distinct sites (fractional):
Sm (0.2500, 0.2500, 0.1586) [2 per cell]
Al (0.2500, 0.7500, 0.5000) [2 per cell]
Au (0.2500, 0.2500, 0.7197) [2 per cell]

# 2
For SmAl3Au6, a DFT-relaxed cell (GGA-PBE, Alexandria) gives the computed powder XRD pattern in this record (Cu Kα, 1.54184 Å).

Main lines, low angle first (2θ = 5–70°):
index, d_spacing, I_rel
1 1 1, 4.364, 393
1 1 -1, 2.953, 485
1 0 2, 2.907, 434
0 2 0, 2.660, 1000
1 2 2, 2.607, 593
2 1 0, 2.524, 555
0 2 2, 2.497, 545
-1 1 2, 2.427, 385
0 1 3, 2.228, 338
1 -1 2, 2.182, 551
2 0 2, 2.174, 507
1 1 -2, 2.123, 331

Atomic structure:
abc: 5.4282 5.9079 6.9342
angles: 66.86 74.84 73.36
Space group P1 (No. 1)
Symmetry-distinct sites (fractional):
Sm (0.0000, 0.0000, 0.0000) [1 per cell]
Al (0.2618, 0.3823, 0.1145) [1 per cell]
Al (0.4348, 0.4262, 0.4527) [1 per cell]
Al (0.5879, 0.7237, 0.7071) [1 per cell]
Au (0.1348, 0.6232, 0.7441) [1 per cell]
Au (0.4552, 0.9154, 0.3037) [1 per cell]
Au (0.5115, 0.1272, 0.8243) [1 per cell]
Au (0.7093, 0.5111, 0.0802) [1 per cell]
Au (0.8788, 0.0668, 0.4469) [1 per cell]
Au (0.9451, 0.5451, 0.4207) [1 per cell]

# 3
For Sm3Al2Au7, a DFT-relaxed cell (GGA-PBE, Alexandria) gives the computed powder XRD pattern in this record (Cu Kα, 1.54184 Å).

Main lines, low angle first (2θ = 5–70°):
index, d_spacing, I_rel
0 0 2, 14.055, 363
1 1 2, 2.980, 350
1 1 4, 2.797, 522
1 1 6, 2.556, 1000
1 0 9, 2.530, 325
1 1 8, 2.303, 201
1 0 11, 2.198, 136
2 0 0, 2.156, 674
2 1 9, 1.641, 177
2 0 12, 1.586, 158
2 2 0, 1.525, 227
1 1 18, 1.390, 252

Atomic structure:
abc: 4.3125 4.3125 28.1091
angles: 90.00 90.00 90.00
Space group I4/mmm (No. 139)
Symmetry-distinct sites (fractional):
Sm (0.0000, 0.0000, 0.0000) [2 per cell]
Sm (0.0000, 0.0000, 0.1741) [4 per cell]
Al (0.0000, 0.0000, 0.3709) [4 per cell]
Au (0.0000, 0.0000, 0.2812) [4 per cell]
Au (0.0000, 0.0000, 0.5000) [2 per cell]
Au (0.0000, 0.5000, 0.0803) [8 per cell]